Structure and calculated powder XRD pattern of PrEr4Pb4 (a structure optimized by DFT (GGA-PBE); copper Kα).
Lines closer than 0.1° are merged.

Main lines, sorted by position (10° ≤ 2θ ≤ 80°):
- hkl 1 1 0, 2θ 12.46, d 7.102, I 29
- hkl 1 3 0, 2θ 28.09, d 3.176, I 100
- hkl 1 0 2, 2θ 30.37, d 2.943, I 45
- hkl 2 3 1, 2θ 35.36, d 2.538, I 49
- hkl 3 0 2, 2θ 39.78, d 2.266, I 57
- hkl 4 2 0, 2θ 40.15, d 2.246, I 28
- hkl 1 3 2, 2θ 40.82, d 2.210, I 25
- hkl 3 2 2, 2θ 43.83, d 2.066, I 22
- hkl 3 6 1, 2θ 63.98, d 1.455, I 26
- hkl 7 0 1, 2θ 66.94, d 1.398, I 24

Cell: 10.0444 10.0444 6.1568 Å, 90.00 90.00 90.00°
Positions (direct):
Pr  0.2500  0.2500  0.2500
Pr  0.7500  0.7500  0.7500
Er  0.0972  0.6472  0.1608
Er  0.1472  0.9028  0.6608
Er  0.3528  0.5972  0.6608
Er  0.4028  0.8528  0.1608
Er  0.5972  0.1472  0.8392
Er  0.6472  0.4028  0.3392
Er  0.8528  0.0972  0.3392
Er  0.9028  0.3528  0.8392
Pb  0.0402  0.6149  0.6703
Pb  0.1149  0.9598  0.1703
Pb  0.3851  0.5402  0.1703
Pb  0.4598  0.8851  0.6703
Pb  0.5402  0.1149  0.3297
Pb  0.6149  0.4598  0.8297
Pb  0.8851  0.0402  0.8297
Pb  0.9598  0.3851  0.3297